This entry pairs a crystal structure of VIn2O5 with its simulated XRD peak list. Radiation: λ = 1.5418 Å (Cu Kα). Structure: a crystal structure in Alexandria, relaxed with PBE+U.

Principal peaks in the range 10 to 90 degrees two-theta, low angle first:
- 16.9 deg, d = 5.237 Å, I 12, hkl 1 0 2
- 27.1 deg, d = 3.291 Å, I 19, hkl 2 0 2
- 30.3 deg, d = 2.954 Å, I 91, hkl 2 0 3
- 30.8 deg, d = 2.905 Å, I 100, hkl 0 1 3
- 35.1 deg, d = 2.557 Å, I 38, hkl 2 1 0
- 36.0 deg, d = 2.497 Å, I 19, hkl 0 0 6
- 41.2 deg, d = 2.191 Å, I 14, hkl 1 1 5
- 51.1 deg, d = 1.786 Å, I 65, hkl 0 2 0
- 57.9 deg, d = 1.593 Å, I 12, hkl 4 1 2
- 60.6 deg, d = 1.528 Å, I 22, hkl 2 2 3

Cell and atoms:
```
VIn2O5
1.0
7.3263 0.0000 0.0000
0.0000 3.5722 0.0000
0.0000 0.0000 14.9804
V In O
4 8 20
direct
0.1033 0.2500 0.0748 V
0.3967 0.7500 0.5748 V
0.6033 0.2500 0.4252 V
0.8967 0.7500 0.9252 V
0.1025 0.2500 0.4184 In
0.1769 0.2500 0.7606 In
0.3231 0.7500 0.2606 In
0.3975 0.7500 0.9184 In
0.6025 0.2500 0.0816 In
0.6769 0.2500 0.7394 In
0.8231 0.7500 0.2394 In
0.8975 0.7500 0.5816 In
0.0558 0.7500 0.3245 O
0.0656 0.7500 0.0412 O
0.1323 0.7500 0.8487 O
0.1553 0.7500 0.5047 O
0.2298 0.2500 0.1767 O
0.2702 0.7500 0.6767 O
0.3447 0.2500 0.0047 O
0.3677 0.2500 0.3487 O
0.4344 0.2500 0.5412 O
0.4442 0.2500 0.8245 O
0.5558 0.7500 0.1755 O
0.5656 0.7500 0.4588 O
0.6323 0.7500 0.6513 O
0.6553 0.7500 0.9953 O
0.7298 0.2500 0.3233 O
0.7702 0.7500 0.8233 O
0.8447 0.2500 0.4953 O
0.8677 0.2500 0.1513 O
0.9344 0.2500 0.9588 O
0.9442 0.2500 0.6755 O
```